The following is a computed X-ray powder pattern of DyTiMnSi2. It was derived from a PBE-relaxed structure, using copper Kα.

Largest 10 diffraction maxima, in order of rising 2θ, 2θ = 10–90°:
d_spacing	two_theta	I/Imax
3.692	24.1	49
2.752	32.5	20
2.679	33.5	58
2.475	36.3	100
1.959	46.3	33
1.919	47.4	29
1.581	58.3	23
1.530	60.5	15
1.371	68.4	19
1.209	79.2	19

```
DyTiMnSi2
1.0
3.9189 0.0000 0.0000
0.0000 3.9189 0.0000
0.0000 0.0000 11.0082
Dy Ti Mn Si
2 2 2 4
Direct
0.0000 0.0000 0.0000
0.5000 0.5000 0.5000
0.0000 0.5000 0.7500
0.5000 0.0000 0.2500
0.0000 0.5000 0.2500
0.5000 0.0000 0.7500
0.0000 0.0000 0.3906
0.0000 0.0000 0.6094
0.5000 0.5000 0.1094
0.5000 0.5000 0.8906
```



The following is a computed X-ray powder pattern of MgCoGe. It was derived from a PBE-relaxed structure, using copper Kα.

Largest 10 diffraction maxima, in order of rising 2θ, 2θ = 10–90°:
d_spacing	two_theta	I/Imax
4.483	19.8	100
2.473	36.3	32
2.466	36.4	32
2.261	39.9	21
2.242	40.2	15
2.191	41.2	51
1.971	46.0	48
1.966	46.2	46
1.953	46.5	25
1.791	51.0	24

```
MgCoGe
1.0
5.2943 0.0000 0.0000
0.0000 7.8125 0.0000
-2.6295 0.0000 4.4831
Mg Co Ge
4 4 4
Direct
0.0000 0.1911 0.0000
0.0000 0.8089 0.0000
0.5000 0.3089 0.0000
0.5000 0.6911 0.0000
0.0000 0.2503 0.5000
0.0000 0.7497 0.5000
0.5000 0.2497 0.5000
0.5000 0.7503 0.5000
0.1897 0.5000 0.3768
0.3103 0.0000 0.6232
0.6897 0.0000 0.3768
0.8103 0.5000 0.6232
```



The following is a computed X-ray powder pattern of KNa3Ag3. It was derived from a PBE-relaxed structure, using copper Kα.

Largest 10 diffraction maxima, in order of rising 2θ, 2θ = 10–90°:
d_spacing	two_theta	I/Imax
5.770	15.4	43
4.080	21.8	34
3.649	24.4	100
3.331	26.8	82
2.356	38.2	45
2.263	39.8	27
2.181	41.4	49
2.040	44.4	32
1.781	51.3	25
1.515	61.2	22

```
KNa3Ag3
1.0
8.1603 0.0000 0.0000
0.0000 8.1603 0.0000
0.0000 0.0000 8.1603
K Na Ag
2 6 6
Direct
0.0000 0.0000 0.0000
0.5000 0.5000 0.5000
0.0000 0.2500 0.5000
0.0000 0.7500 0.5000
0.2500 0.5000 0.0000
0.5000 0.0000 0.2500
0.5000 0.0000 0.7500
0.7500 0.5000 0.0000
0.0000 0.5000 0.2500
0.0000 0.5000 0.7500
0.2500 0.0000 0.5000
0.5000 0.2500 0.0000
0.5000 0.7500 0.0000
0.7500 0.0000 0.5000
```



The following is a computed X-ray powder pattern of PrZnBi2O6. It was derived from a PBE-relaxed structure, using copper Kα.

Largest 10 diffraction maxima, in order of rising 2θ, 2θ = 10–90°:
d_spacing	two_theta	I/Imax
4.296	20.7	34
3.592	24.8	13
3.248	27.5	17
3.041	29.4	100
2.858	31.3	24
2.824	31.7	15
2.155	41.9	14
2.145	42.1	14
1.721	53.2	13
1.683	54.5	21

```
PrZnBi2O6
1.0
8.6215 0.0000 0.0000
0.0000 6.4954 0.0000
0.0000 0.0000 5.7153
Pr Zn Bi O
2 2 4 12
Direct
0.0000 0.1682 0.0000
0.5000 0.8318 0.5000
0.0000 0.9054 0.4904
0.5000 0.0946 0.9904
0.2415 0.7187 0.9681
0.2585 0.2813 0.4681
0.7415 0.2813 0.4681
0.7585 0.7187 0.9681
0.0000 0.2359 0.5916
0.0000 0.8108 0.8139
0.1740 0.9595 0.2686
0.1849 0.4145 0.1233
0.3151 0.5855 0.6233
0.3260 0.0405 0.7686
0.5000 0.1892 0.3140
0.5000 0.7641 0.0916
0.6740 0.0405 0.7686
0.6849 0.5855 0.6233
0.8151 0.4145 0.1233
0.8260 0.9595 0.2686
```



The following is a computed X-ray powder pattern of InRhNO2. It was derived from a PBE-relaxed structure, using copper Kα.

Largest 10 diffraction maxima, in order of rising 2θ, 2θ = 10–90°:
d_spacing	two_theta	I/Imax
2.916	30.7	55
2.755	32.5	100
2.062	43.9	35
1.851	49.2	12
1.651	55.7	43
1.563	59.1	17
1.458	63.8	10
1.377	68.1	17
1.289	73.5	9
1.093	89.7	12

```
InRhNO2
1.0
4.1242 0.0000 0.0000
0.0000 4.1242 0.0000
0.0000 0.0000 3.7017
In Rh N O
1 1 1 2
Direct
0.0000 0.0000 0.0000
0.5000 0.5000 0.5000
0.5000 0.5000 0.0000
0.0000 0.5000 0.5000
0.5000 0.0000 0.5000
```